1.
The following is a calculated PXRD pattern of NaSbCO2F3. It was derived from a cell relaxed with GGA-PBE, using a wavelength of 1.5418 Å.
Lines closer than 0.1° are merged.

Principal peaks in the range 2θ = 15–90°, low angle first:
17.7 deg, 5.009 Å, intensity 68; 20.4 deg, 4.352 Å, intensity 41; 22.3 deg, 3.989 Å, intensity 46; 24.0 deg, 3.710 Å, intensity 41; 24.4 deg, 3.641 Å, intensity 100; 28.2 deg, 3.160 Å, intensity 39; 30.0 deg, 2.979 Å, intensity 26; 31.1 deg, 2.878 Å, intensity 34; 31.9 deg, 2.805 Å, intensity 24; 42.4 deg, 2.133 Å, intensity 29; 44.8 deg, 2.021 Å, intensity 26; 45.9 deg, 1.975 Å, intensity 24

Cell and atoms:
abc: 9.3360 9.3360 8.5221
angles: 96.33 96.33 40.28
Fractional coordinates of all 32 atoms:
1 Na 0.1153 0.8847 0.5000
2 Na 0.4608 0.6974 0.8507
3 Na 0.6974 0.4608 0.3507
4 Na 0.8847 0.1153 0.0000
5 Sb 0.0549 0.3117 0.7788
6 Sb 0.2716 0.5187 0.0723
7 Sb 0.3117 0.0549 0.2788
8 Sb 0.5187 0.2716 0.5723
9 C 0.6824 0.8314 0.6987
10 C 0.7488 0.8916 0.1444
11 C 0.8314 0.6824 0.1987
12 C 0.8916 0.7488 0.6444
13 O 0.0264 0.4953 0.1672
14 O 0.0780 0.5519 0.6723
15 O 0.4953 0.0264 0.6672
16 O 0.5519 0.0780 0.1723
17 O 0.6957 0.7151 0.2721
18 O 0.7151 0.6957 0.7721
19 O 0.8593 0.8866 0.5750
20 O 0.8866 0.8593 0.0750
21 F 0.0144 0.1764 0.2243
22 F 0.1764 0.0144 0.7243
23 F 0.2192 0.7492 0.9850
24 F 0.2280 0.6162 0.2980
25 F 0.3501 0.9567 0.0540
26 F 0.3675 0.8253 0.3736
27 F 0.3921 0.5703 0.6330
28 F 0.5703 0.3921 0.1330
29 F 0.6162 0.2280 0.7980
30 F 0.7492 0.2192 0.4850
31 F 0.8253 0.3675 0.8736
32 F 0.9567 0.3501 0.5540

2.
The following is a calculated PXRD pattern of NaSbCO2F3. It was derived from a cell relaxed with GGA-PBE, using a wavelength of 1.5418 Å.
Lines closer than 0.1° are merged.

Principal peaks in the range 2θ = 15–90°, low angle first:
17.7 deg, 5.003 Å, intensity 68; 20.4 deg, 4.347 Å, intensity 40; 22.3 deg, 3.983 Å, intensity 46; 24.0 deg, 3.702 Å, intensity 40; 24.6 deg, 3.626 Å, intensity 100; 28.3 deg, 3.156 Å, intensity 39; 29.2 deg, 3.058 Å, intensity 24; 30.0 deg, 2.978 Å, intensity 26; 31.1 deg, 2.876 Å, intensity 34; 42.4 deg, 2.131 Å, intensity 25; 45.0 deg, 2.015 Å, intensity 27; 50.3 deg, 1.812 Å, intensity 24

Cell and atoms:
abc: 9.3275 9.3275 8.4930
angles: 96.48 96.48 40.30
Fractional coordinates of all 32 atoms:
1 Na 0.0945 0.3262 0.3238
2 Na 0.3262 0.0945 0.8238
3 Na 0.6738 0.9055 0.1762
4 Na 0.9055 0.6738 0.6762
5 Sb 0.2695 0.5196 0.1054
6 Sb 0.4804 0.7305 0.3946
7 Sb 0.5196 0.2695 0.6054
8 Sb 0.7305 0.4804 0.8946
9 C 0.0410 0.8957 0.5275
10 C 0.1043 0.9590 0.9725
11 C 0.8957 0.0410 0.0275
12 C 0.9590 0.1043 0.4725
13 O 0.0707 0.0955 0.8991
14 O 0.0955 0.0707 0.3991
15 O 0.2360 0.7083 0.4963
16 O 0.2917 0.7640 0.0037
17 O 0.7083 0.2360 0.9963
18 O 0.7640 0.2917 0.5037
19 O 0.9045 0.9293 0.6009
20 O 0.9293 0.9045 0.1009
21 F 0.0384 0.5744 0.1957
22 F 0.1722 0.5600 0.8791
23 F 0.2220 0.3923 0.5477
24 F 0.3923 0.2220 0.0477
25 F 0.4256 0.9616 0.3043
26 F 0.4400 0.8278 0.6209
27 F 0.5600 0.1722 0.3791
28 F 0.5744 0.0384 0.6957
29 F 0.6077 0.7780 0.9523
30 F 0.7780 0.6077 0.4523
31 F 0.8278 0.4400 0.1209
32 F 0.9616 0.4256 0.8043

3.
The following is a calculated PXRD pattern of Na2Sn2C3O6F3. It was derived from a cell relaxed with GGA-PBE, using a wavelength of 1.5418 Å.
Lines closer than 0.1° are merged.

Principal peaks in the range 2θ = 15–90°, low angle first:
16.8 deg, 5.273 Å, intensity 39; 20.2 deg, 4.389 Å, intensity 34; 20.4 deg, 4.343 Å, intensity 89; 22.3 deg, 3.987 Å, intensity 31; 24.8 deg, 3.589 Å, intensity 36; 25.8 deg, 3.457 Å, intensity 98; 26.3 deg, 3.392 Å, intensity 100; 30.1 deg, 2.965 Å, intensity 49; 30.3 deg, 2.953 Å, intensity 51; 32.3 deg, 2.770 Å, intensity 43; 38.2 deg, 2.357 Å, intensity 43; 40.6 deg, 2.223 Å, intensity 39

Cell and atoms:
abc: 6.1178 8.9305 9.3628
angles: 70.46 82.15 82.84
Fractional coordinates of all 32 atoms:
1 Na 0.1399 0.2625 0.1250
2 Na 0.2931 0.9565 0.9205
3 Na 0.7069 0.0435 0.0795
4 Na 0.8601 0.7375 0.8750
5 Sn 0.1624 0.4288 0.6838
6 Sn 0.1731 0.8619 0.3638
7 Sn 0.8269 0.1381 0.6362
8 Sn 0.8376 0.5712 0.3162
9 C 0.3979 0.4957 0.2292
10 C 0.4128 0.6066 0.8341
11 C 0.4161 0.0751 0.4871
12 C 0.5839 0.9249 0.5129
13 C 0.5872 0.3934 0.1659
14 C 0.6021 0.5043 0.7708
15 O 0.2023 0.4761 0.2148
16 O 0.2130 0.5819 0.8225
17 O 0.2468 0.0778 0.4193
18 O 0.4557 0.5902 0.2905
19 O 0.4566 0.1845 0.5336
20 O 0.4625 0.7036 0.8915
21 O 0.5375 0.2964 0.1085
22 O 0.5434 0.8155 0.4664
23 O 0.5443 0.4098 0.7095
24 O 0.7532 0.9222 0.5807
25 O 0.7870 0.4181 0.1775
26 O 0.7977 0.5239 0.7852
27 F 0.0602 0.9551 0.7579
28 F 0.1327 0.2333 0.8849
29 F 0.3630 0.9580 0.1550
30 F 0.6370 0.0420 0.8450
31 F 0.8673 0.7667 0.1151
32 F 0.9398 0.0449 0.2421

4.
The following is a calculated PXRD pattern of NaYCO3F2. It was derived from a cell relaxed with GGA-PBE, using a wavelength of 1.5418 Å.
Lines closer than 0.1° are merged.

Principal peaks in the range 2θ = 15–90°, low angle first:
16.9 deg, 5.257 Å, intensity 100; 19.1 deg, 4.651 Å, intensity 21; 25.1 deg, 3.542 Å, intensity 87; 26.9 deg, 3.319 Å, intensity 31; 28.0 deg, 3.186 Å, intensity 32; 31.5 deg, 2.840 Å, intensity 46; 42.6 deg, 2.120 Å, intensity 23; 43.3 deg, 2.087 Å, intensity 21; 43.7 deg, 2.071 Å, intensity 28; 45.4 deg, 1.999 Å, intensity 29; 48.5 deg, 1.878 Å, intensity 29; 51.1 deg, 1.787 Å, intensity 31

Cell and atoms:
abc: 6.3719 7.0834 9.3013
angles: 90.00 90.00 90.00
Fractional coordinates of all 32 atoms:
1 Na 0.1713 0.2500 0.2178
2 Na 0.3287 0.7500 0.7178
3 Na 0.6713 0.2500 0.2822
4 Na 0.8287 0.7500 0.7822
5 Y 0.0125 0.2500 0.5778
6 Y 0.4875 0.7500 0.0778
7 Y 0.5125 0.2500 0.9222
8 Y 0.9875 0.7500 0.4222
9 C 0.0401 0.7500 0.0597
10 C 0.4599 0.2500 0.5597
11 C 0.5401 0.7500 0.4403
12 C 0.9599 0.2500 0.9403
13 O 0.1306 0.7500 0.1864
14 O 0.1589 0.2500 0.9561
15 O 0.1642 0.7500 0.9492
16 O 0.3358 0.2500 0.4492
17 O 0.3411 0.7500 0.4561
18 O 0.3694 0.2500 0.6864
19 O 0.6306 0.7500 0.3136
20 O 0.6589 0.2500 0.5439
21 O 0.6642 0.7500 0.5508
22 O 0.8358 0.2500 0.0508
23 O 0.8411 0.7500 0.0439
24 O 0.8694 0.2500 0.8136
25 F 0.0421 0.5596 0.6300
26 F 0.0421 0.9404 0.6300
27 F 0.4579 0.0596 0.1300
28 F 0.4579 0.4404 0.1300
29 F 0.5421 0.5596 0.8700
30 F 0.5421 0.9404 0.8700
31 F 0.9579 0.0596 0.3700
32 F 0.9579 0.4404 0.3700

5.
The following is a calculated PXRD pattern of Na3YC2O6F2. It was derived from a cell relaxed with GGA-PBE, using a wavelength of 1.5418 Å.
Lines closer than 0.1° are merged.

Principal peaks in the range 2θ = 15–90°, low angle first:
15.9 deg, 5.579 Å, intensity 76; 18.9 deg, 4.696 Å, intensity 46; 27.2 deg, 3.278 Å, intensity 62; 27.3 deg, 3.262 Å, intensity 52; 29.7 deg, 3.006 Å, intensity 56; 30.6 deg, 2.926 Å, intensity 100; 32.2 deg, 2.778 Å, intensity 66; 34.8 deg, 2.577 Å, intensity 62; 46.2 deg, 1.963 Å, intensity 47; 48.1 deg, 1.890 Å, intensity 32; 49.3 deg, 1.847 Å, intensity 32; 50.1 deg, 1.822 Å, intensity 33

Cell and atoms:
abc: 7.1327 15.0643 7.9217
angles: 90.00 122.65 90.00
Fractional coordinates of all 56 atoms:
1 Na 0.0000 0.0000 0.0000
2 Na 0.0000 0.5000 0.5000
3 Na 0.1247 0.1874 0.3731
4 Na 0.1247 0.3126 0.8731
5 Na 0.2444 0.5069 0.2566
6 Na 0.2444 0.9931 0.7566
7 Na 0.5000 0.0000 0.5000
8 Na 0.5000 0.5000 0.0000
9 Na 0.7556 0.0069 0.2434
10 Na 0.7556 0.4931 0.7434
11 Na 0.8753 0.6874 0.1269
12 Na 0.8753 0.8126 0.6269
13 Y 0.3766 0.7135 0.6292
14 Y 0.3766 0.7865 0.1292
15 Y 0.6234 0.2135 0.8708
16 Y 0.6234 0.2865 0.3708
17 C 0.1435 0.6322 0.8921
18 C 0.1435 0.8678 0.3921
19 C 0.3883 0.1363 0.1318
20 C 0.3883 0.3637 0.6318
21 C 0.6117 0.6363 0.3682
22 C 0.6117 0.8637 0.8682
23 C 0.8565 0.1322 0.6079
24 C 0.8565 0.3678 0.1079
25 O 0.1229 0.5499 0.8448
26 O 0.1229 0.9501 0.3448
27 O 0.1363 0.6595 0.0448
28 O 0.1363 0.8405 0.5448
29 O 0.1816 0.6939 0.7966
30 O 0.1816 0.8061 0.2966
31 O 0.3578 0.0562 0.0730
32 O 0.3578 0.4438 0.5730
33 O 0.3831 0.1613 0.2869
34 O 0.3831 0.3387 0.7869
35 O 0.4363 0.2001 0.0460
36 O 0.4363 0.2999 0.5460
37 O 0.5637 0.7001 0.4540
38 O 0.5637 0.7999 0.9540
39 O 0.6169 0.6613 0.2131
40 O 0.6169 0.8387 0.7131
41 O 0.6422 0.5562 0.4270
42 O 0.6422 0.9438 0.9270
43 O 0.8184 0.1939 0.7034
44 O 0.8184 0.3061 0.2034
45 O 0.8637 0.1595 0.4552
46 O 0.8637 0.3405 0.9552
47 O 0.8771 0.0499 0.6552
48 O 0.8771 0.4501 0.1552
49 F 0.1380 0.6180 0.4138
50 F 0.1380 0.8820 0.9138
51 F 0.3928 0.1112 0.6659
52 F 0.3928 0.3888 0.1659
53 F 0.6072 0.6112 0.8341
54 F 0.6072 0.8888 0.3341
55 F 0.8620 0.1180 0.0862
56 F 0.8620 0.3820 0.5862

6.
The following is a calculated PXRD pattern of PdC2S2O8F2. It was derived from a cell relaxed with GGA-PBE, using a wavelength of 1.5418 Å.
Lines closer than 0.1° are merged.

Principal peaks in the range 2θ = 15–90°, low angle first:
15.5 deg, 5.720 Å, intensity 58; 16.4 deg, 5.409 Å, intensity 100; 20.3 deg, 4.367 Å, intensity 53; 23.4 deg, 3.796 Å, intensity 34; 24.1 deg, 3.698 Å, intensity 47; 24.5 deg, 3.633 Å, intensity 46; 26.2 deg, 3.407 Å, intensity 44; 26.3 deg, 3.395 Å, intensity 29; 26.5 deg, 3.369 Å, intensity 33; 28.4 deg, 3.145 Å, intensity 33; 29.3 deg, 3.045 Å, intensity 30; 33.3 deg, 2.688 Å, intensity 53

Cell and atoms:
abc: 7.6025 15.1757 11.4332
angles: 90.00 130.40 90.00
Fractional coordinates of all 60 atoms:
1 Pd 0.2247 0.1401 0.1951
2 Pd 0.2247 0.3599 0.6951
3 Pd 0.7753 0.6401 0.3049
4 Pd 0.7753 0.8599 0.8049
5 C 0.0316 0.2415 0.0853
6 C 0.0316 0.2585 0.5853
7 C 0.0397 0.1038 0.2460
8 C 0.0397 0.3962 0.7460
9 C 0.9603 0.6038 0.2540
10 C 0.9603 0.8962 0.7540
11 C 0.9684 0.7415 0.4147
12 C 0.9684 0.7585 0.9147
13 S 0.3666 0.1835 0.9956
14 S 0.3666 0.3165 0.4956
15 S 0.4009 0.5568 0.7733
16 S 0.4009 0.9432 0.2733
17 S 0.5991 0.0568 0.7267
18 S 0.5991 0.4432 0.2267
19 S 0.6334 0.6835 0.5044
20 S 0.6334 0.8165 0.0044
21 O 0.0707 0.5792 0.2258
22 O 0.0707 0.9208 0.7258
23 O 0.0796 0.6978 0.9787
24 O 0.0796 0.8022 0.4787
25 O 0.1394 0.2208 0.8837
26 O 0.1394 0.2792 0.3837
27 O 0.2439 0.5698 0.6100
28 O 0.2439 0.9302 0.1100
29 O 0.3894 0.1066 0.6287
30 O 0.3894 0.3934 0.1287
31 O 0.4413 0.1741 0.1540
32 O 0.4413 0.3259 0.6540
33 O 0.4459 0.7159 0.4931
34 O 0.4459 0.7841 0.9931
35 O 0.4524 0.0393 0.3214
36 O 0.4524 0.4607 0.8214
37 O 0.5476 0.5393 0.1786
38 O 0.5476 0.9607 0.6786
39 O 0.5541 0.2159 0.0069
40 O 0.5541 0.2841 0.5069
41 O 0.5587 0.6741 0.3460
42 O 0.5587 0.8259 0.8460
43 O 0.6106 0.6066 0.8713
44 O 0.6106 0.8934 0.3713
45 O 0.7561 0.0698 0.8900
46 O 0.7561 0.4302 0.3900
47 O 0.8606 0.7208 0.6163
48 O 0.8606 0.7792 0.1163
49 O 0.9204 0.1978 0.5213
50 O 0.9204 0.3022 0.0213
51 O 0.9293 0.0792 0.2742
52 O 0.9293 0.4208 0.7742
53 F 0.2543 0.5836 0.8246
54 F 0.2543 0.9164 0.3246
55 F 0.3365 0.0820 0.9452
56 F 0.3365 0.4180 0.4452
57 F 0.6635 0.5820 0.5548
58 F 0.6635 0.9180 0.0548
59 F 0.7457 0.0836 0.6754
60 F 0.7457 0.4164 0.1754